# Pr2MgCu16
Theoretical powder X-ray diffraction pattern, Cu Kα. Input: a PBE-relaxed structure.
No peak broadening, texture or thermal motion is included.

abc: 6.5748 6.5748 6.5748
angles: 82.75 82.75 82.75
Fractional positions:
Pr 0.0000 0.0000 0.0000
Pr 0.3055 0.3055 0.3055
Mg 0.7398 0.7398 0.7398
Cu 0.1488 0.6452 0.6452
Cu 0.3050 0.3050 0.7992
Cu 0.3050 0.7992 0.3050
Cu 0.3498 0.6460 0.9409
Cu 0.3498 0.9409 0.6460
Cu 0.4924 0.9922 0.9922
Cu 0.5416 0.5416 0.5416
Cu 0.6452 0.1488 0.6452
Cu 0.6452 0.6452 0.1488
Cu 0.6460 0.3498 0.9409
Cu 0.6460 0.9409 0.3498
Cu 0.7992 0.3050 0.3050
Cu 0.9409 0.3498 0.6460
Cu 0.9409 0.6460 0.3498
Cu 0.9922 0.4924 0.9922
Cu 0.9922 0.9922 0.4924

Main lines, low angle first (2θ from 15° to 90°):
2theta	I_rel
29.40	25.9
35.79	33.3
36.97	26.4
41.56	55.2
41.81	100.0
42.58	49.3
46.97	33.1
61.01	26.1



# Tb3Y5Ho4
Theoretical powder X-ray diffraction pattern, Cu Kα. Input: a PBE-relaxed structure.
No peak broadening, texture or thermal motion is included.

abc: 6.1508 7.1099 8.6959
angles: 90.01 90.08 90.12
Fractional positions:
Tb 0.0000 0.0000 0.0000
Tb 0.1662 0.7487 0.6667
Tb 0.8338 0.2513 0.3333
Y 0.0000 0.5000 0.0000
Y 0.3316 0.0001 0.3342
Y 0.4997 0.2503 0.0000
Y 0.5003 0.7497 0.0000
Y 0.6684 0.9999 0.6658
Ho 0.1667 0.2507 0.6667
Ho 0.3336 0.5001 0.3353
Ho 0.6664 0.4999 0.6647
Ho 0.8333 0.7493 0.3333

Main lines, low angle first (2θ from 15° to 90°):
2theta	I_rel
30.83	100.0
35.75	50.6
51.42	23.7
51.51	11.8
61.16	21.0
61.23	21.0
64.26	9.0
86.69	8.1



# Na2Sr6Li
Theoretical powder X-ray diffraction pattern, Cu Kα. Input: a PBE-relaxed structure.
No peak broadening, texture or thermal motion is included.

abc: 7.6133 7.6133 11.5463
angles: 121.16 121.16 51.28
Fractional positions:
Na 0.1051 0.1051 0.4617
Na 0.8949 0.8949 0.5383
Sr 0.1899 0.1899 0.8833
Sr 0.3075 0.3075 0.3300
Sr 0.4454 0.4454 0.7868
Sr 0.5546 0.5546 0.2132
Sr 0.6925 0.6925 0.6700
Sr 0.8101 0.8101 0.1167
Li 0.0000 0.0000 0.0000

Main lines, low angle first (2θ from 15° to 90°):
2theta	I_rel
23.11	11.0
24.05	28.3
27.07	29.6
27.43	22.8
27.86	100.0
38.92	16.2
48.31	21.8
49.68	11.7



# ZrCuBr
Theoretical powder X-ray diffraction pattern, Cu Kα. Input: a PBE-relaxed structure.
No peak broadening, texture or thermal motion is included.

abc: 3.4062 3.4062 7.3087
angles: 90.00 90.00 120.00
Fractional positions:
Zr 0.0000 0.0000 0.0000
Cu 0.6667 0.3333 0.7449
Br 0.3333 0.6667 0.2670

Main lines, low angle first (2θ from 15° to 90°):
2theta	I_rel
32.74	100.0
39.25	64.1
48.46	26.8
53.83	25.8
64.45	13.2
68.62	11.6
76.46	16.6
88.77	11.0